Entry 1:
Diffraction record for TbPuHg. The powder diffractogram is calculated, not measured: it uses the PBE geometry in Alexandria and Cu Kα X-rays.
Intensities are scaled so that the largest is 100.

Structural model:
```
TbPuHg
1.0
5.257 0.000 0.000
-2.628 4.552 0.000
0.000 0.000 3.365
Tb Pu Hg
1 1 1
direct
0.000 0.000 0.000
0.333 0.667 0.586
0.667 0.333 0.284
```

Main lines, by intensity (2θ from 15° to 90°):
- d = 2.706 Å, I = 100
- d = 2.628 Å, I = 94
- d = 1.532 Å, I = 37
- d = 1.885 Å, I = 36
- d = 1.578 Å, I = 20
- d = 1.517 Å, I = 18
- d = 1.203 Å, I = 17
- d = 1.182 Å, I = 16
- d = 1.353 Å, I = 12
- d = 1.314 Å, I = 11

Entry 2:
Diffraction record for TbPuHg4. The powder diffractogram is calculated, not measured: it uses the PBE geometry in Alexandria and Cu Kα X-rays.
Intensities are scaled so that the largest is 100.

Structural model:
```
TbPuHg4
1.0
3.302 0.000 0.000
0.000 5.048 0.000
0.000 0.000 8.774
Tb Pu Hg
1 1 4
direct
0.000 0.000 0.000
0.000 0.500 0.500
0.500 0.000 0.331
0.500 0.000 0.669
0.500 0.500 0.164
0.500 0.500 0.836
```

Main lines, by intensity (2θ from 15° to 90°):
- d = 2.528 Å, I = 100
- d = 2.637 Å, I = 99
- d = 1.825 Å, I = 34
- d = 1.382 Å, I = 31
- d = 1.481 Å, I = 23
- d = 1.459 Å, I = 12
- d = 1.478 Å, I = 12
- d = 1.093 Å, I = 11
- d = 1.651 Å, I = 9
- d = 3.303 Å, I = 9

Entry 3:
Diffraction record for Tb2PuHg5. The powder diffractogram is calculated, not measured: it uses the PBE geometry in Alexandria and Cu Kα X-rays.
Intensities are scaled so that the largest is 100.

Structural model:
```
Tb2PuHg5
1.0
5.327 0.000 0.000
0.000 5.327 0.000
0.000 0.000 14.289
Tb Pu Hg
4 2 10
direct
0.000 0.000 0.236
0.000 0.000 0.764
0.500 0.500 0.264
0.500 0.500 0.736
0.000 0.000 0.500
0.500 0.500 0.000
0.000 0.000 0.000
0.000 0.500 0.127
0.000 0.500 0.373
0.000 0.500 0.627
0.000 0.500 0.873
0.500 0.000 0.127
0.500 0.000 0.373
0.500 0.000 0.627
0.500 0.000 0.873
0.500 0.500 0.500
```

Main lines, by intensity (2θ from 15° to 90°):
- d = 2.592 Å, I = 100
- d = 2.664 Å, I = 55
- d = 1.524 Å, I = 41
- d = 1.884 Å, I = 20
- d = 1.483 Å, I = 17
- d = 1.296 Å, I = 11
- d = 1.191 Å, I = 10
- d = 1.185 Å, I = 9
- d = 1.786 Å, I = 8
- d = 1.332 Å, I = 7

Entry 4:
Diffraction record for TbPuHg6. The powder diffractogram is calculated, not measured: it uses the PBE geometry in Alexandria and Cu Kα X-rays.
Intensities are scaled so that the largest is 100.

Structural model:
```
TbPuHg6
1.0
5.090 0.000 0.000
0.000 6.691 0.000
0.000 0.000 11.585
Tb Pu Hg
2 2 12
direct
0.000 0.000 0.000
0.000 0.500 0.500
0.500 0.000 0.668
0.500 0.500 0.168
0.000 0.000 0.501
0.000 0.247 0.252
0.000 0.253 0.752
0.000 0.500 0.001
0.000 0.747 0.752
0.000 0.753 0.252
0.500 0.000 0.167
0.500 0.248 0.418
0.500 0.252 0.918
0.500 0.500 0.667
0.500 0.748 0.918
0.500 0.752 0.418
```

Main lines, by intensity (2θ from 15° to 90°):
- d = 2.518 Å, I = 100
- d = 2.897 Å, I = 24
- d = 2.545 Å, I = 23
- d = 1.398 Å, I = 22
- d = 1.672 Å, I = 20
- d = 1.464 Å, I = 19
- d = 1.393 Å, I = 16
- d = 1.912 Å, I = 15
- d = 1.102 Å, I = 8
- d = 1.259 Å, I = 4

Entry 5:
Diffraction record for Tb2PuHg6. The powder diffractogram is calculated, not measured: it uses the PBE geometry in Alexandria and Cu Kα X-rays.
Intensities are scaled so that the largest is 100.

Structural model:
```
Tb2PuHg6
1.0
8.719 0.000 0.000
-4.360 7.551 0.000
0.000 0.000 3.334
Tb Pu Hg
2 1 6
direct
0.333 0.667 0.000
0.667 0.333 0.000
0.000 0.000 0.000
0.000 0.335 0.500
0.000 0.665 0.500
0.335 0.000 0.500
0.335 0.335 0.500
0.665 0.000 0.500
0.665 0.665 0.500
```

Main lines, by intensity (2θ from 15° to 90°):
- d = 2.517 Å, I = 100
- d = 2.648 Å, I = 99
- d = 1.477 Å, I = 34
- d = 1.825 Å, I = 34
- d = 1.390 Å, I = 32
- d = 1.453 Å, I = 19
- d = 1.095 Å, I = 16
- d = 1.137 Å, I = 15
- d = 2.009 Å, I = 15
- d = 1.259 Å, I = 12

Entry 6:
Diffraction record for Pu5Tc2Hg2. The powder diffractogram is calculated, not measured: it uses the PBE geometry in Alexandria and Cu Kα X-rays.
Intensities are scaled so that the largest is 100.

Structural model:
```
Pu5Tc2Hg2
1.0
8.002 -3.750 0.000
8.002 3.750 0.000
0.000 0.000 7.518
Pu Tc Hg
10 4 4
direct
0.000 0.000 0.000
0.044 0.725 0.660
0.225 0.544 0.160
0.275 0.956 0.660
0.456 0.775 0.160
0.500 0.500 0.500
0.544 0.225 0.840
0.725 0.044 0.340
0.775 0.456 0.840
0.956 0.275 0.340
0.141 0.859 0.359
0.359 0.641 0.859
0.641 0.359 0.141
0.859 0.141 0.641
0.215 0.215 0.000
0.285 0.285 0.500
0.715 0.715 0.500
0.785 0.785 0.000
```

Main lines, by intensity (2θ from 15° to 90°):
- d = 2.739 Å, I = 100
- d = 2.349 Å, I = 68
- d = 2.571 Å, I = 48
- d = 2.318 Å, I = 31
- d = 2.843 Å, I = 27
- d = 1.549 Å, I = 26
- d = 2.655 Å, I = 24
- d = 3.356 Å, I = 21
- d = 1.679 Å, I = 19
- d = 3.289 Å, I = 18

Entry 7:
Diffraction record for PuThHg5. The powder diffractogram is calculated, not measured: it uses the PBE geometry in Alexandria and Cu Kα X-rays.
Intensities are scaled so that the largest is 100.

Structural model:
```
PuThHg5
1.0
4.363 0.000 0.000
0.000 5.004 0.000
0.000 0.000 8.947
Pu Th Hg
1 1 5
direct
0.000 0.000 0.000
0.500 0.500 0.500
0.000 0.000 0.500
0.000 0.500 0.221
0.000 0.500 0.779
0.500 0.000 0.254
0.500 0.000 0.746
```

Main lines, by intensity (2θ from 15° to 90°):
- d = 2.650 Å, I = 100
- d = 2.502 Å, I = 22
- d = 1.471 Å, I = 17
- d = 2.182 Å, I = 15
- d = 2.237 Å, I = 14
- d = 1.644 Å, I = 13
- d = 1.333 Å, I = 12
- d = 1.668 Å, I = 12
- d = 1.325 Å, I = 11
- d = 1.358 Å, I = 10

Entry 8:
Diffraction record for PuTl2Hg9. The powder diffractogram is calculated, not measured: it uses the PBE geometry in Alexandria and Cu Kα X-rays.
Intensities are scaled so that the largest is 100.

Structural model:
```
PuTl2Hg9
1.0
4.574 0.000 0.000
0.000 4.808 0.000
0.000 0.000 14.821
Pu Tl Hg
1 2 9
direct
0.000 0.000 0.000
0.000 0.000 0.333
0.000 0.000 0.667
0.000 0.500 0.158
0.000 0.500 0.500
0.000 0.500 0.842
0.500 0.000 0.159
0.500 0.000 0.500
0.500 0.000 0.841
0.500 0.500 0.000
0.500 0.500 0.326
0.500 0.500 0.674
```

Main lines, by intensity (2θ from 15° to 90°):
- d = 2.752 Å, I = 100
- d = 2.470 Å, I = 19
- d = 2.404 Å, I = 18
- d = 2.287 Å, I = 15
- d = 1.446 Å, I = 15
- d = 1.475 Å, I = 14
- d = 1.394 Å, I = 13
- d = 1.723 Å, I = 12
- d = 1.376 Å, I = 12
- d = 1.657 Å, I = 11

Entry 9:
Diffraction record for PuTl2Hg4. The powder diffractogram is calculated, not measured: it uses the PBE geometry in Alexandria and Cu Kα X-rays.
Intensities are scaled so that the largest is 100.

Structural model:
```
PuTl2Hg4
1.0
5.116 0.000 0.000
-2.529 4.458 0.000
-2.525 -1.478 8.426
Pu Tl Hg
1 2 4
direct
0.000 0.000 0.000
0.269 0.138 0.406
0.731 0.862 0.594
0.215 0.607 0.821
0.469 0.737 0.206
0.531 0.263 0.794
0.785 0.393 0.179
```

Main lines, by intensity (2θ from 15° to 90°):
- d = 2.579 Å, I = 100
- d = 2.564 Å, I = 71
- d = 2.558 Å, I = 44
- d = 2.806 Å, I = 44
- d = 1.815 Å, I = 20
- d = 2.797 Å, I = 20
- d = 1.484 Å, I = 19
- d = 1.486 Å, I = 14
- d = 1.475 Å, I = 13
- d = 1.410 Å, I = 13

Entry 10:
Diffraction record for Pu3TlHg12. The powder diffractogram is calculated, not measured: it uses the PBE geometry in Alexandria and Cu Kα X-rays.
Intensities are scaled so that the largest is 100.

Structural model:
```
Pu3TlHg12
1.0
4.773 0.000 0.000
0.000 4.670 0.000
-0.033 0.000 18.819
Pu Tl Hg
3 1 12
direct
0.000 0.000 0.000
0.003 0.000 0.250
0.997 0.000 0.750
0.000 0.000 0.500
0.002 0.500 0.125
0.004 0.500 0.372
0.496 0.000 0.629
0.497 0.500 0.754
0.498 0.000 0.876
0.500 0.500 0.000
0.500 0.500 0.500
0.502 0.000 0.124
0.503 0.500 0.246
0.504 0.000 0.371
0.996 0.500 0.628
0.998 0.500 0.875
```

Main lines, by intensity (2θ from 15° to 90°):
- d = 2.722 Å, I = 100
- d = 2.386 Å, I = 18
- d = 2.352 Å, I = 17
- d = 2.335 Å, I = 17
- d = 1.434 Å, I = 15
- d = 1.412 Å, I = 14
- d = 1.419 Å, I = 14
- d = 1.361 Å, I = 12
- d = 1.669 Å, I = 12
- d = 1.657 Å, I = 12

Entry 11:
Diffraction record for Pu4TlHg3. The powder diffractogram is calculated, not measured: it uses the PBE geometry in Alexandria and Cu Kα X-rays.
Intensities are scaled so that the largest is 100.

Structural model:
```
Pu4TlHg3
1.0
3.983 0.000 0.000
0.000 3.983 0.000
0.000 0.000 13.471
Pu Tl Hg
4 1 3
direct
0.000 0.000 0.123
0.000 0.000 0.370
0.000 0.000 0.630
0.000 0.000 0.877
0.500 0.500 0.500
0.500 0.500 0.000
0.500 0.500 0.247
0.500 0.500 0.753
```

Main lines, by intensity (2θ from 15° to 90°):
- d = 2.572 Å, I = 100
- d = 2.816 Å, I = 64
- d = 1.574 Å, I = 46
- d = 1.991 Å, I = 24
- d = 1.445 Å, I = 17
- d = 1.286 Å, I = 12
- d = 1.259 Å, I = 11
- d = 1.235 Å, I = 11
- d = 1.408 Å, I = 8
- d = 1.684 Å, I = 7

Entry 12:
Diffraction record for TmPuTlHg. The powder diffractogram is calculated, not measured: it uses the PBE geometry in Alexandria and Cu Kα X-rays.
Intensities are scaled so that the largest is 100.

Structural model:
```
TmPuTlHg
1.0
3.657 0.000 0.000
0.000 3.657 0.000
0.000 0.000 7.916
Tm Pu Tl Hg
1 1 1 1
direct
0.000 0.000 0.000
0.000 0.000 0.518
0.500 0.500 0.247
0.500 0.500 0.781
```

Main lines, by intensity (2θ from 15° to 90°):
- d = 2.686 Å, I = 100
- d = 2.586 Å, I = 46
- d = 1.512 Å, I = 36
- d = 1.572 Å, I = 19
- d = 1.829 Å, I = 17
- d = 1.343 Å, I = 11
- d = 1.979 Å, I = 10
- d = 1.156 Å, I = 8
- d = 1.165 Å, I = 8
- d = 1.241 Å, I = 7